Record 1
Structure and computed powder diffractogram of TaCdSe (a crystal structure in Alexandria, relaxed with PBE; a wavelength of 1.5418 Å).

Structural model:
abc: 3.2656 3.2656 6.8615
angles: 90.00 90.00 120.00
Sites, in units of the cell vectors:
Ta: 0.0000 0.0000 0.0000
Cd: 0.6667 0.3333 0.3419
Se: 0.3333 0.6667 0.7467

Most intense lines, 2θ from 15° to 90°, in order of rising 2θ:
- 2θ = 34.30°, rel. 100
- 2θ = 39.40°, rel. 16
- 2θ = 41.37°, rel. 60
- 2θ = 56.35°, rel. 23
- 2θ = 67.65°, rel. 14
- 2θ = 70.92°, rel. 16

Record 2
Structure and computed powder diffractogram of CaAg12Pd7 (a crystal structure in Alexandria, relaxed with PBE; a wavelength of 1.5418 Å).

Structural model:
abc: 8.4121 8.4121 8.4121
angles: 109.47 109.47 109.47
Sites, in units of the cell vectors:
Ca: 0.0000 0.0000 0.0000
Ag: 0.1085 0.3565 0.7520
Ag: 0.2480 0.6045 0.3565
Ag: 0.2480 0.8915 0.6435
Ag: 0.3565 0.2480 0.6045
Ag: 0.3565 0.7520 0.1085
Ag: 0.3955 0.6435 0.7520
Ag: 0.6045 0.3565 0.2480
Ag: 0.6435 0.2480 0.8915
Ag: 0.6435 0.7520 0.3955
Ag: 0.7520 0.1085 0.3565
Ag: 0.7520 0.3955 0.6435
Ag: 0.8915 0.6435 0.2480
Pd: 0.0000 0.0000 0.5000
Pd: 0.0000 0.5000 0.0000
Pd: 0.0000 0.5000 0.5000
Pd: 0.5000 0.0000 0.0000
Pd: 0.5000 0.0000 0.5000
Pd: 0.5000 0.5000 0.0000
Pd: 0.5000 0.5000 0.5000

Most intense lines, 2θ from 15° to 90°, in order of rising 2θ:
- 2θ = 29.07°, rel. 32
- 2θ = 34.55°, rel. 41
- 2θ = 37.02°, rel. 54
- 2θ = 41.58°, rel. 69
- 2θ = 45.76°, rel. 100
- 2θ = 72.87°, rel. 53

Record 3
Structure and computed powder diffractogram of NdSm7Hg2 (a crystal structure in Alexandria, relaxed with PBE; a wavelength of 1.5418 Å).

Structural model:
abc: 9.0408 9.0408 5.4067
angles: 90.00 90.00 118.82
Sites, in units of the cell vectors:
Nd: 0.0000 0.0000 0.0000
Sm: 0.0617 0.3033 0.5000
Sm: 0.2351 0.7649 0.0000
Sm: 0.3033 0.0617 0.5000
Sm: 0.5000 0.5000 0.5000
Sm: 0.6967 0.9383 0.5000
Sm: 0.7649 0.2351 0.0000
Sm: 0.9383 0.6967 0.5000
Hg: 0.3058 0.6942 0.5000
Hg: 0.6942 0.3058 0.5000

Most intense lines, 2θ from 15° to 90°, in order of rising 2θ:
- 2θ = 16.40°, rel. 73
- 2θ = 28.26°, rel. 53
- 2θ = 30.08°, rel. 74
- 2θ = 33.14°, rel. 68
- 2θ = 34.10°, rel. 76
- 2θ = 34.65°, rel. 100

Record 4
Structure and computed powder diffractogram of CsUTe2O8 (a crystal structure in Alexandria, relaxed with PBE; a wavelength of 1.5418 Å).

Structural model:
abc: 6.4213 6.4213 8.3928
angles: 90.00 90.00 120.00
Sites, in units of the cell vectors:
Cs: 0.0000 0.0000 0.0000
U: 0.0000 0.0000 0.5000
Te: 0.3333 0.6667 0.6848
Te: 0.6667 0.3333 0.3152
O: 0.1480 0.3006 0.6483
O: 0.1526 0.8520 0.6483
O: 0.3006 0.1526 0.3517
O: 0.3333 0.6667 0.9006
O: 0.6667 0.3333 0.0994
O: 0.6994 0.8474 0.6483
O: 0.8474 0.1480 0.3517
O: 0.8520 0.6994 0.3517

Most intense lines, 2θ from 15° to 90°, in order of rising 2θ:
- 2θ = 15.94°, rel. 48
- 2θ = 19.15°, rel. 68
- 2θ = 26.61°, rel. 100
- 2θ = 27.79°, rel. 81
- 2θ = 38.85°, rel. 37
- 2θ = 48.44°, rel. 42

Record 5
Structure and computed powder diffractogram of K2Tl6SnPb (a crystal structure in Alexandria, relaxed with PBE; a wavelength of 1.5418 Å).

Structural model:
abc: 14.7471 14.7471 14.7471
angles: 31.75 31.75 31.75
Sites, in units of the cell vectors:
K: 0.1001 0.1001 0.1001
K: 0.2797 0.2797 0.2797
K: 0.7203 0.7203 0.7203
K: 0.8999 0.8999 0.8999
Tl: 0.0733 0.6648 0.6648
Tl: 0.2255 0.2255 0.6290
Tl: 0.2255 0.6290 0.2255
Tl: 0.3352 0.3352 0.9267
Tl: 0.3352 0.9267 0.3352
Tl: 0.3710 0.7745 0.7745
Tl: 0.6290 0.2255 0.2255
Tl: 0.6648 0.0733 0.6648
Tl: 0.6648 0.6648 0.0733
Tl: 0.7745 0.3710 0.7745
Tl: 0.7745 0.7745 0.3710
Tl: 0.9267 0.3352 0.3352
Sn: 0.0000 0.0000 0.0000
Sn: 0.5000 0.5000 0.5000
Pb: 0.4240 0.4240 0.4240
Pb: 0.5760 0.5760 0.5760

Most intense lines, 2θ from 15° to 90°, in order of rising 2θ:
- 2θ = 16.51°, rel. 89
- 2θ = 27.65°, rel. 51
- 2θ = 29.59°, rel. 100
- 2θ = 34.22°, rel. 88
- 2θ = 34.82°, rel. 52
- 2θ = 43.43°, rel. 46

Record 6
Structure and computed powder diffractogram of Tb2In2Pd7 (a crystal structure in Alexandria, relaxed with PBE; a wavelength of 1.5418 Å).

Structural model:
abc: 5.8188 5.8188 7.1179
angles: 90.00 90.00 101.97
Sites, in units of the cell vectors:
Tb: 0.2005 0.7995 0.0000
Tb: 0.7995 0.2005 0.0000
In: 0.3103 0.3103 0.5000
In: 0.6897 0.6897 0.5000
Pd: 0.0000 0.0000 0.2952
Pd: 0.0000 0.0000 0.7048
Pd: 0.0000 0.5000 0.2936
Pd: 0.0000 0.5000 0.7064
Pd: 0.5000 0.0000 0.2936
Pd: 0.5000 0.0000 0.7064
Pd: 0.5000 0.5000 0.0000

Most intense lines, 2θ from 15° to 90°, in order of rising 2θ:
- 2θ = 23.31°, rel. 30
- 2θ = 27.38°, rel. 80
- 2θ = 39.88°, rel. 41
- 2θ = 40.59°, rel. 100
- 2θ = 41.15°, rel. 58
- 2θ = 49.75°, rel. 51